Entry 1:
# Li2TiI6O18
Computed powder XRD pattern, a wavelength of 1.5418 Å. Input: a crystal structure in Alexandria, relaxed with GGA-PBE.

Peak list (10 most intense, 5 to 70 degrees two-theta, sorted by position)
(hkl), d (Å), 2θ/deg, I_rel
1 1 0, 4.731, 18.8, 19.5
1 1 1, 3.519, 25.3, 100.0
3 0 0, 2.732, 32.8, 21.4
0 0 2, 2.633, 34.1, 7.2
1 1 2, 2.301, 39.2, 8.9
4 -2 1, 2.158, 41.9, 15.1
0 3 2, 1.896, 48.0, 22.3
4 1 1, 1.693, 54.2, 15.1
2 -1 3, 1.646, 55.9, 8.3
2 2 3, 1.410, 66.3, 5.9

Structural model:
Cell: 9.4629 9.4629 5.2657 Å, 90.00 90.00 120.00°
Space group P3 (No. 143)
Symmetry-distinct sites (fractional):
1 Li 0.0000 0.0000 0.0000
2 Li 0.3333 0.6667 0.5214
3 Ti 0.6667 0.3333 0.0591
4 I 0.0311 0.3659 0.9538
5 I 0.3313 0.3098 0.4371
6 O 0.0664 0.2211 0.7773
7 O 0.1173 0.5399 0.7394
8 O 0.1725 0.7234 0.2872
9 O 0.2218 0.1289 0.2397
10 O 0.4778 0.1906 0.8521
11 O 0.5396 0.4005 0.2837



Entry 2:
# U2Zn15Ga2
Computed powder XRD pattern, a wavelength of 1.5418 Å. Input: a crystal structure in Alexandria, relaxed with GGA-PBE.

Peak list (10 most intense, 5 to 70 degrees two-theta, sorted by position)
(hkl), d (Å), 2θ/deg, I_rel
1 1 3, 3.136, 28.5, 39.6
3 0 0, 2.627, 34.1, 46.1
0 2 4, 2.505, 35.8, 18.7
2 2 0, 2.275, 39.6, 54.5
0 3 3, 2.245, 40.2, 100.0
2 1 4, 2.195, 41.1, 13.8
0 0 6, 2.165, 41.7, 41.9
4 1 3, 1.598, 57.7, 13.5
2 2 6, 1.568, 58.9, 18.7
3 3 3, 1.431, 65.2, 19.8

Structural model:
Cell: 9.0992 9.0992 12.9839 Å, 90.00 90.00 120.00°
Space group R-3m (No. 166, hexagonal axes)
Symmetry-distinct sites (fractional):
1 U 0.0000 0.0000 0.1655
2 Zn 0.0000 0.3074 0.5000
3 Zn 0.0000 0.5000 0.0000
4 Zn 0.0129 0.5065 0.6545
5 Ga 0.0000 0.0000 0.3992



Entry 3:
# Zr3H3Os
Computed powder XRD pattern, a wavelength of 1.5418 Å. Input: a crystal structure in Alexandria, relaxed with GGA-PBE.

Peak list (10 most intense, 5 to 70 degrees two-theta, sorted by position)
(hkl), d (Å), 2θ/deg, I_rel
0 0 3, 6.469, 13.7, 26.6
1 0 1, 4.945, 17.9, 17.0
0 1 2, 4.524, 19.6, 15.1
1 0 4, 3.520, 25.3, 9.9
1 1 3, 2.686, 33.4, 100.0
2 -1 6, 2.180, 41.4, 58.8
0 0 9, 2.156, 41.9, 8.3
2 -1 9, 1.741, 52.6, 17.8
3 0 0, 1.705, 53.8, 27.7
4 -2 3, 1.439, 64.8, 14.2

Structural model:
Cell: 5.9047 5.9047 19.4056 Å, 90.00 90.00 120.00°
Space group R-3 (No. 148, hexagonal axes)
Symmetry-distinct sites (fractional):
1 Zr 0.0016 0.3266 0.4090
2 H 0.0008 0.3430 0.6341
3 Os 0.0000 0.0000 0.1662



Entry 4:
# Ca2TaGaSe
Computed powder XRD pattern, a wavelength of 1.5418 Å. Input: a crystal structure in Alexandria, relaxed with GGA-PBE.

Peak list (10 most intense, 5 to 70 degrees two-theta, sorted by position)
(hkl), d (Å), 2θ/deg, I_rel
1 1 0, 3.794, 23.4, 78.5
1 0 1, 3.710, 24.0, 84.3
1 1 1, 3.051, 29.3, 100.0
2 0 0, 2.683, 33.4, 92.5
0 0 2, 2.567, 35.0, 40.9
2 1 1, 2.174, 41.5, 39.9
1 1 2, 2.126, 42.5, 34.0
2 2 0, 1.897, 48.0, 32.8
2 0 2, 1.855, 49.1, 61.1
2 2 2, 1.526, 60.7, 31.9

Structural model:
Cell: 5.3659 5.3659 5.1341 Å, 90.00 90.00 90.00°
Space group P4/mmm (No. 123)
Symmetry-distinct sites (fractional):
1 Ca 0.0000 0.5000 0.0000
2 Ta 0.0000 0.0000 0.5000
3 Ga 0.5000 0.5000 0.5000
4 Se 0.5000 0.5000 0.0000



Entry 5:
# PmGa4CoNi2
Computed powder XRD pattern, a wavelength of 1.5418 Å. Input: a crystal structure in Alexandria, relaxed with GGA-PBE.

Peak list (10 most intense, 5 to 70 degrees two-theta, sorted by position)
(hkl), d (Å), 2θ/deg, I_rel
0 0 3, 8.762, 10.1, 9.8
0 1 2, 3.414, 26.1, 15.7
0 1 5, 2.934, 30.5, 38.8
1 0 7, 2.574, 34.9, 18.5
0 1 8, 2.407, 37.4, 71.2
1 0 10, 2.109, 42.9, 15.8
1 1 0, 2.041, 44.4, 100.0
0 1 11, 1.980, 45.8, 24.3
2 0 5, 1.674, 54.8, 14.5
2 0 8, 1.557, 59.4, 17.7

Structural model:
Cell: 4.0821 4.0821 26.2860 Å, 90.00 90.00 120.00°
Space group R-3m (No. 166, hexagonal axes)
Symmetry-distinct sites (fractional):
1 Pm 0.0000 0.0000 0.0000
2 Ga 0.0000 0.0000 0.1332
3 Ga 0.0000 0.0000 0.4055
4 Co 0.0000 0.0000 0.5000
5 Ni 0.0000 0.0000 0.2295



Entry 6:
# Na3B4C2
Computed powder XRD pattern, a wavelength of 1.5418 Å. Input: a crystal structure in Alexandria, relaxed with GGA-PBE.

Peak list (8 most intense, 5 to 70 degrees two-theta, sorted by position)
(hkl), d (Å), 2θ/deg, I_rel
0 0 3, 8.512, 10.4, 0.7
0 0 6, 4.259, 20.9, 1.2
1 1 0, 2.502, 35.9, 18.2
1 1 6, 2.157, 41.9, 100.0
0 0 12, 2.128, 42.5, 24.9
1 1 12, 1.621, 56.8, 10.0
3 0 0, 1.445, 64.5, 17.4
3 0 6, 1.368, 68.6, 1.6

Structural model:
Cell: 5.0050 5.0050 25.5346 Å, 90.00 90.00 120.00°
Space group R32 (No. 155, hexagonal axes)
Symmetry-distinct sites (fractional):
1 Na 0.9999 0.6672 0.0841
2 B 0.0000 0.0000 0.1667
3 B 0.0000 0.0000 0.3334
4 B 0.0000 0.0000 0.5000
5 B 0.0000 0.3174 0.0000
6 C 0.0000 0.0000 0.0000
7 C 0.0000 0.3334 0.1667